Structure and calculated powder diffractogram of Rb2CoH8C2O10 (a PBE+U-relaxed structure; copper Kα).
No peak broadening, texture or thermal motion is included.

Crystal structure
Unit cell a=6.9419 b=6.3081 c=12.1381 alpha=90.00 beta=114.82 gamma=90.00
Fractional positions:
1 Rb 0.2455 0.1388 0.3269
2 Rb 0.2455 0.3612 0.8269
3 Rb 0.7545 0.6388 0.1731
4 Rb 0.7545 0.8612 0.6731
5 Co 0.0000 0.0000 0.0000
6 Co 0.0000 0.5000 0.5000
7 H 0.1995 0.6563 0.3665
8 H 0.1995 0.8437 0.8665
9 H 0.2021 0.6972 0.9806
10 H 0.2021 0.8028 0.4806
11 H 0.2968 0.1812 0.5840
12 H 0.2968 0.3188 0.0840
13 H 0.4309 0.1036 0.1201
14 H 0.4309 0.3964 0.6201
15 H 0.5691 0.6036 0.3799
16 H 0.5691 0.8964 0.8799
17 H 0.7032 0.6812 0.9160
18 H 0.7032 0.8188 0.4160
19 H 0.7979 0.1972 0.5194
20 H 0.7979 0.3028 0.0194
21 H 0.8005 0.1563 0.1335
22 H 0.8005 0.3437 0.6335
23 C 0.2509 0.6463 0.1786
24 C 0.2509 0.8537 0.6786
25 C 0.7491 0.1463 0.3214
26 C 0.7491 0.3537 0.8214
27 O 0.1089 0.7167 0.4059
28 O 0.1089 0.7833 0.9059
29 O 0.1190 0.6977 0.6513
30 O 0.1190 0.8023 0.1513
31 O 0.2908 0.1634 0.0630
32 O 0.2908 0.3366 0.5630
33 O 0.3166 0.5718 0.1000
34 O 0.3166 0.9282 0.6000
35 O 0.3190 0.5612 0.2857
36 O 0.3190 0.9388 0.7857
37 O 0.6810 0.0612 0.2143
38 O 0.6810 0.4388 0.7143
39 O 0.6834 0.0718 0.4000
40 O 0.6834 0.4282 0.9000
41 O 0.7092 0.6634 0.4370
42 O 0.7092 0.8366 0.9370
43 O 0.8810 0.1977 0.8487
44 O 0.8810 0.3023 0.3487
45 O 0.8911 0.2167 0.0941
46 O 0.8911 0.2833 0.5941

Main lines, in order of falling intensity (5° ≤ 2θ ≤ 70°):
3.033 Å, I 100
3.013 Å, I 64
4.639 Å, I 59
3.174 Å, I 45
2.493 Å, I 34
3.150 Å, I 34
4.149 Å, I 33
2.524 Å, I 33
2.068 Å, I 32
2.472 Å, I 29